[1]
Simulated powder X-ray diffraction pattern
Compound: NaLuTi2O6
Radiation: CuKα
Structure: a DFT-relaxed cell (PBE, the Materials Project)
No peak broadening, texture or thermal motion is included.

Main lines, by intensity (10° ≤ 2θ ≤ 90°):
(hkl)	2theta	I (rel.)
2 1 1	33.32	100
1 0 1	20.52	69
1 1 0	19.90	54
0 0 2	34.04	26
2 1 3	60.46	24
0 2 2	47.76	22

Crystal structure
abc: 7.5958 5.5136 5.2676
angles: 90.00 90.00 90.00
Space group Pmn2_1 (No. 31)
Unique sites:
Na1 0.0000 0.2053 0.0000 x2
Lu1 0.0000 0.6774 0.5292 x2
Ti1 0.2483 0.2386 0.5167 x4
O1 0.0000 0.2829 0.4302 x2
O2 0.0000 0.7773 0.1245 x2
O3 0.1929 0.9403 0.6944 x4
O4 0.2055 0.4635 0.7942 x4



[2]
Simulated powder X-ray diffraction pattern
Compound: NaLuTiO4
Radiation: CuKα
Structure: a DFT-relaxed cell (PBE, the Materials Project)
No peak broadening, texture or thermal motion is included.

Main lines, by intensity (10° ≤ 2θ ≤ 90°):
(hkl)	2theta	I (rel.)
3 1 1	32.25	100
2 1 1	27.75	85
0 0 2	34.04	42
0 2 2	48.27	32
0 2 0	33.16	29
3 1 3	59.83	17

Crystal structure
abc: 12.3004 5.4038 5.2641
angles: 90.00 90.00 90.00
Space group Pbcm (No. 57)
Unique sites:
Na1 0.0867 0.0005 0.2500 x4
Lu1 0.3959 0.0301 0.2500 x4
Ti1 0.2425 0.5087 0.2500 x4
O1 0.0999 0.5410 0.2500 x4
O2 0.2630 0.2500 0.0000 x4
O3 0.2964 0.7500 0.0000 x4
O4 0.4404 0.0820 0.7500 x4



Repeat the second record exactly.
Simulated powder X-ray diffraction pattern
Compound: NaLuTiO4
Radiation: CuKα
Structure: a DFT-relaxed cell (PBE, the Materials Project)
No peak broadening, texture or thermal motion is included.

Main lines, by intensity (10° ≤ 2θ ≤ 90°):
(hkl)	2theta	I (rel.)
3 1 1	32.25	100
2 1 1	27.75	85
0 0 2	34.04	42
0 2 2	48.27	32
0 2 0	33.16	29
3 1 3	59.83	17

Crystal structure
abc: 12.3004 5.4038 5.2641
angles: 90.00 90.00 90.00
Space group Pbcm (No. 57)
Unique sites:
Na1 0.0867 0.0005 0.2500 x4
Lu1 0.3959 0.0301 0.2500 x4
Ti1 0.2425 0.5087 0.2500 x4
O1 0.0999 0.5410 0.2500 x4
O2 0.2630 0.2500 0.0000 x4
O3 0.2964 0.7500 0.0000 x4
O4 0.4404 0.0820 0.7500 x4



Repeat the second record exactly.
Simulated powder X-ray diffraction pattern
Compound: NaLuTiO4
Radiation: CuKα
Structure: a DFT-relaxed cell (PBE, the Materials Project)
No peak broadening, texture or thermal motion is included.

Main lines, by intensity (10° ≤ 2θ ≤ 90°):
(hkl)	2theta	I (rel.)
3 1 1	32.25	100
2 1 1	27.75	85
0 0 2	34.04	42
0 2 2	48.27	32
0 2 0	33.16	29
3 1 3	59.83	17

Crystal structure
abc: 12.3004 5.4038 5.2641
angles: 90.00 90.00 90.00
Space group Pbcm (No. 57)
Unique sites:
Na1 0.0867 0.0005 0.2500 x4
Lu1 0.3959 0.0301 0.2500 x4
Ti1 0.2425 0.5087 0.2500 x4
O1 0.0999 0.5410 0.2500 x4
O2 0.2630 0.2500 0.0000 x4
O3 0.2964 0.7500 0.0000 x4
O4 0.4404 0.0820 0.7500 x4